# 1
Tm2ScNi9: calculated XRD peak list (a wavelength of 1.5418 Å), based on DFT lattice parameters and positions (PBE).
Lines closer than 0.1° are merged.

Peak list (12 most intense, 2θ from 10° to 90°, in order of rising 2θ)
d 8.040, I 44, hkl 0 0 2
d 3.321, I 30, hkl 1 0 3
d 2.561, I 82, hkl 1 0 5
d 2.443, I 58, hkl 1 1 0
d 2.098, I 34, hkl 2 0 1
d 2.088, I 100, hkl 1 1 4
d 2.019, I 45, hkl 1 0 7
d 1.968, I 65, hkl 2 0 3
d 1.432, I 26, hkl 2 1 5
d 1.331, I 21, hkl 3 0 4
d 1.313, I 21, hkl 2 1 7
d 1.222, I 27, hkl 2 2 0

Atomic structure:
```
data_Tm2ScNi9
_chemical_formula_sum 'Tm4 Sc2 Ni18'
_cell_length_a 4.8866
_cell_length_b 4.8866
_cell_length_c 16.0802
_cell_angle_alpha 90.00
_cell_angle_beta 90.00
_cell_angle_gamma 120.00
_symmetry_space_group_name_H-M 'P 63/m m c'
_symmetry_Int_Tables_number 194
_symmetry_space_group_name_Hall '-P 6c 2c'
loop_
_atom_site_label
_atom_site_type_symbol
_atom_site_fract_x
_atom_site_fract_y
_atom_site_fract_z
Tm1 Tm 0.3333 0.6667 0.0434
Sc1 Sc 0.3333 0.6667 0.2500
Ni1 Ni 0.0000 0.0000 0.0000
Ni2 Ni 0.0000 0.0000 0.2500
Ni3 Ni 0.1673 0.3347 0.6268
Ni4 Ni 0.3333 0.6667 0.7500
```

# 2
ScTiGa3: calculated XRD peak list (a wavelength of 1.5418 Å), based on DFT lattice parameters and positions (PBE).
Lines closer than 0.1° are merged.

Peak list (12 most intense, 2θ from 10° to 90°, in order of rising 2θ)
d 4.685, I 68, hkl 0 0 2
d 2.910, I 33, hkl 1 2 1
d 2.479, I 78, hkl 2 1 1
d 2.379, I 93, hkl 0 3 1
d 2.366, I 89, hkl 2 0 2
d 2.343, I 58, hkl 0 0 4
d 2.201, I 67, hkl 2 2 0
d 2.186, I 100, hkl 1 2 3
d 1.992, I 78, hkl 2 2 2
d 1.450, I 30, hkl 3 2 3
d 1.357, I 34, hkl 2 0 6
d 1.287, I 31, hkl 2 5 1

Atomic structure:
```
data_ScTiGa3
_chemical_formula_sum 'Sc4 Ti4 Ga12'
_cell_length_a 5.4839
_cell_length_b 7.3788
_cell_length_c 9.3701
_cell_angle_alpha 90.00
_cell_angle_beta 90.00
_cell_angle_gamma 90.00
_symmetry_space_group_name_H-M 'I m m a'
_symmetry_Int_Tables_number 74
_symmetry_space_group_name_Hall '-I 2b 2'
loop_
_atom_site_label
_atom_site_type_symbol
_atom_site_fract_x
_atom_site_fract_y
_atom_site_fract_z
Sc1 Sc 0.0000 0.2500 0.0098
Ti1 Ti 0.0000 0.0000 0.5000
Ga1 Ga 0.0000 0.2500 0.3206
Ga2 Ga 0.2500 0.0540 0.7500
```